Entry 1:
This entry pairs a crystal structure of Ho2ThFe9 with its calculated powder XRD pattern. Radiation: copper Kα. Structure: a DFT-relaxed cell (GGA-PBE, Alexandria).
Peak positions follow from Bragg's law for the DFT cell and can differ from measured ones.

Top 12 peaks for 15° ≤ 2θ ≤ 90°, in order of rising 2θ:
20.46°, rel. 24; 32.60°, rel. 56; 35.26°, rel. 58; 35.62°, rel. 36; 41.11°, rel. 39; 41.78°, rel. 100; 44.23°, rel. 12; 61.60°, rel. 18; 63.51°, rel. 14; 67.73°, rel. 23; 68.30°, rel. 12; 74.55°, rel. 19

Structural model:
a b c (Å): 8.703 8.703 8.703
angles (deg): 34.02 34.02 34.02
Positions (direct):
1 Ho 0.142 0.142 0.142
2 Ho 0.858 0.858 0.858
3 Th 0.000 0.000 0.000
4 Fe 0.084 0.583 0.583
5 Fe 0.332 0.332 0.332
6 Fe 0.417 0.417 0.916
7 Fe 0.417 0.916 0.417
8 Fe 0.500 0.500 0.500
9 Fe 0.583 0.084 0.583
10 Fe 0.583 0.583 0.084
11 Fe 0.668 0.668 0.668
12 Fe 0.916 0.417 0.417

Entry 2:
This entry pairs a crystal structure of HoTh4Fe4 with its calculated powder XRD pattern. Radiation: copper Kα. Structure: a DFT-relaxed cell (GGA-PBE, Alexandria).
Peak positions follow from Bragg's law for the DFT cell and can differ from measured ones.

Top 12 peaks for 15° ≤ 2θ ≤ 90°, in order of rising 2θ:
28.52°, rel. 100; 32.64°, rel. 21; 33.25°, rel. 84; 34.34°, rel. 24; 40.52°, rel. 14; 47.28°, rel. 29; 47.73°, rel. 29; 51.01°, rel. 15; 55.71°, rel. 17; 56.54°, rel. 35; 59.04°, rel. 17; 79.54°, rel. 10

Structural model:
a b c (Å): 8.521 8.521 5.487
angles (deg): 90.00 90.00 90.00
Positions (direct):
1 Ho 0.250 0.250 0.250
2 Ho 0.750 0.750 0.750
3 Th 0.053 0.666 0.183
4 Th 0.166 0.947 0.683
5 Th 0.334 0.553 0.683
6 Th 0.447 0.834 0.183
7 Th 0.553 0.166 0.817
8 Th 0.666 0.447 0.317
9 Th 0.834 0.053 0.317
10 Th 0.947 0.334 0.817
11 Fe 0.036 0.613 0.662
12 Fe 0.113 0.964 0.162
13 Fe 0.387 0.536 0.162
14 Fe 0.464 0.887 0.662
15 Fe 0.536 0.113 0.338
16 Fe 0.613 0.464 0.838
17 Fe 0.887 0.036 0.838
18 Fe 0.964 0.387 0.338

Entry 3:
This entry pairs a crystal structure of HoTiFe11 with its calculated powder XRD pattern. Radiation: copper Kα. Structure: a DFT-relaxed cell (GGA-PBE, Alexandria).
Peak positions follow from Bragg's law for the DFT cell and can differ from measured ones.

Top 12 peaks for 15° ≤ 2θ ≤ 90°, in order of rising 2θ:
30.33°, rel. 58; 37.07°, rel. 30; 37.30°, rel. 35; 38.30°, rel. 23; 42.58°, rel. 45; 43.00°, rel. 100; 43.15°, rel. 81; 44.08°, rel. 98; 49.32°, rel. 32; 62.10°, rel. 16; 72.56°, rel. 28; 78.34°, rel. 15

Structural model:
a b c (Å): 6.426 6.426 6.426
angles (deg): 137.09 98.09 97.28
Positions (direct):
1 Ho 0.000 0.000 0.000
2 Ti 0.375 0.375 0.000
3 Fe 0.004 0.004 0.499
4 Fe 0.004 0.505 0.000
5 Fe 0.223 0.506 0.717
6 Fe 0.233 0.733 0.500
7 Fe 0.361 0.006 0.356
8 Fe 0.505 0.004 0.000
9 Fe 0.505 0.505 0.501
10 Fe 0.650 0.006 0.644
11 Fe 0.652 0.652 0.000
12 Fe 0.774 0.274 0.500
13 Fe 0.790 0.506 0.283

Entry 4:
This entry pairs a crystal structure of Ho12TlFe6 with its calculated powder XRD pattern. Radiation: copper Kα. Structure: a DFT-relaxed cell (GGA-PBE, Alexandria).
Peak positions follow from Bragg's law for the DFT cell and can differ from measured ones.

Top 12 peaks for 15° ≤ 2θ ≤ 90°, in order of rising 2θ:
29.25°, rel. 47; 32.11°, rel. 67; 34.76°, rel. 100; 37.25°, rel. 26; 48.05°, rel. 24; 55.49°, rel. 38; 58.97°, rel. 41; 68.74°, rel. 23; 71.85°, rel. 11; 85.29°, rel. 17; 86.76°, rel. 18; 89.68°, rel. 12

Structural model:
a b c (Å): 8.362 8.362 8.362
angles (deg): 109.47 109.47 109.47
Positions (direct):
1 Ho 0.104 0.299 0.805
2 Ho 0.195 0.493 0.299
3 Ho 0.195 0.896 0.701
4 Ho 0.299 0.195 0.493
5 Ho 0.299 0.805 0.104
6 Ho 0.493 0.299 0.195
7 Ho 0.507 0.701 0.805
8 Ho 0.701 0.195 0.896
9 Ho 0.701 0.805 0.507
10 Ho 0.805 0.104 0.299
11 Ho 0.805 0.507 0.701
12 Ho 0.896 0.701 0.195
13 Tl 0.000 0.000 0.000
14 Fe 0.110 0.500 0.610
15 Fe 0.390 0.890 0.500
16 Fe 0.500 0.390 0.890
17 Fe 0.500 0.610 0.110
18 Fe 0.610 0.110 0.500
19 Fe 0.890 0.500 0.390

Entry 5:
This entry pairs a crystal structure of HoTlFe with its calculated powder XRD pattern. Radiation: copper Kα. Structure: a DFT-relaxed cell (GGA-PBE, Alexandria).
Peak positions follow from Bragg's law for the DFT cell and can differ from measured ones.

Top 12 peaks for 15° ≤ 2θ ≤ 90°, in order of rising 2θ:
31.03°, rel. 65; 31.54°, rel. 42; 33.89°, rel. 100; 34.27°, rel. 72; 35.15°, rel. 38; 38.05°, rel. 43; 41.34°, rel. 35; 48.88°, rel. 32; 54.81°, rel. 23; 60.36°, rel. 20; 61.06°, rel. 28; 62.79°, rel. 19

Structural model:
a b c (Å): 6.959 6.959 5.340
angles (deg): 101.39 101.39 31.06
Positions (direct):
1 Ho 0.139 0.139 0.326
2 Ho 0.861 0.861 0.674
3 Tl 0.427 0.427 0.208
4 Tl 0.573 0.573 0.792
5 Fe 0.231 0.231 0.879
6 Fe 0.769 0.769 0.121

Entry 6:
This entry pairs a crystal structure of HoTm3Fe8 with its calculated powder XRD pattern. Radiation: copper Kα. Structure: a DFT-relaxed cell (GGA-PBE, Alexandria).
Peak positions follow from Bragg's law for the DFT cell and can differ from measured ones.

Top 12 peaks for 15° ≤ 2θ ≤ 90°, in order of rising 2θ:
21.41°, rel. 19; 35.31°, rel. 70; 41.66°, rel. 100; 43.58°, rel. 10; 63.34°, rel. 20; 63.48°, rel. 6; 67.71°, rel. 29; 74.61°, rel. 11; 74.76°, rel. 11; 85.34°, rel. 6; 85.46°, rel. 6; 89.30°, rel. 8

Structural model:
a b c (Å): 8.793 8.793 8.793
angles (deg): 33.64 33.64 33.64
Positions (direct):
1 Ho 0.000 0.000 0.000
2 Tm 0.125 0.125 0.125
3 Tm 0.500 0.500 0.500
4 Tm 0.625 0.625 0.625
5 Fe 0.062 0.062 0.562
6 Fe 0.062 0.562 0.062
7 Fe 0.063 0.563 0.563
8 Fe 0.312 0.312 0.312
9 Fe 0.562 0.062 0.062
10 Fe 0.563 0.063 0.563
11 Fe 0.563 0.563 0.063
12 Fe 0.813 0.813 0.813

Entry 7:
This entry pairs a crystal structure of HoTmFe with its calculated powder XRD pattern. Radiation: copper Kα. Structure: a DFT-relaxed cell (GGA-PBE, Alexandria).
Peak positions follow from Bragg's law for the DFT cell and can differ from measured ones.

Top 12 peaks for 15° ≤ 2θ ≤ 90°, in order of rising 2θ:
28.95°, rel. 100; 29.06°, rel. 31; 30.62°, rel. 94; 32.81°, rel. 76; 33.07°, rel. 73; 36.26°, rel. 28; 36.44°, rel. 57; 39.63°, rel. 32; 40.32°, rel. 39; 42.51°, rel. 40; 55.66°, rel. 39; 56.32°, rel. 36

Structural model:
a b c (Å): 6.784 6.784 7.254
angles (deg): 90.00 90.00 120.60
Positions (direct):
1 Ho 0.197 0.803 0.886
2 Ho 0.303 0.697 0.386
3 Ho 0.697 0.303 0.614
4 Ho 0.803 0.197 0.114
5 Tm 0.205 0.295 0.750
6 Tm 0.295 0.205 0.250
7 Tm 0.705 0.795 0.750
8 Tm 0.795 0.705 0.250
9 Fe 0.093 0.907 0.544
10 Fe 0.407 0.593 0.044
11 Fe 0.593 0.407 0.956
12 Fe 0.907 0.093 0.456

Entry 8:
This entry pairs a crystal structure of HoV2Fe10 with its calculated powder XRD pattern. Radiation: copper Kα. Structure: a DFT-relaxed cell (GGA-PBE, Alexandria).
Peak positions follow from Bragg's law for the DFT cell and can differ from measured ones.

Top 12 peaks for 15° ≤ 2θ ≤ 90°, in order of rising 2θ:
30.37°, rel. 29; 30.48°, rel. 31; 37.16°, rel. 29; 37.42°, rel. 29; 38.49°, rel. 21; 42.65°, rel. 44; 43.11°, rel. 100; 43.27°, rel. 71; 44.27°, rel. 92; 49.51°, rel. 30; 62.23°, rel. 16; 72.89°, rel. 26

Structural model:
a b c (Å): 6.411 6.411 6.411
angles (deg): 137.21 98.10 97.20
Positions (direct):
1 Ho 0.000 0.000 0.000
2 V 0.359 0.359 0.000
3 V 0.641 0.641 0.000
4 Fe 0.000 0.000 0.500
5 Fe 0.000 0.500 0.000
6 Fe 0.224 0.500 0.724
7 Fe 0.227 0.727 0.500
8 Fe 0.359 0.000 0.359
9 Fe 0.500 0.000 0.000
10 Fe 0.500 0.500 0.500
11 Fe 0.641 0.000 0.641
12 Fe 0.773 0.273 0.500
13 Fe 0.776 0.500 0.276

Entry 9:
This entry pairs a crystal structure of Y2HoFe9 with its calculated powder XRD pattern. Radiation: copper Kα. Structure: a DFT-relaxed cell (GGA-PBE, Alexandria).
Peak positions follow from Bragg's law for the DFT cell and can differ from measured ones.

Top 12 peaks for 15° ≤ 2θ ≤ 90°, in order of rising 2θ:
32.88°, rel. 35; 35.21°, rel. 42; 35.96°, rel. 30; 41.06°, rel. 37; 41.58°, rel. 16; 41.91°, rel. 100; 44.89°, rel. 17; 61.71°, rel. 11; 63.67°, rel. 11; 67.77°, rel. 22; 68.95°, rel. 11; 74.44°, rel. 20

Structural model:
a b c (Å): 8.596 8.596 8.596
angles (deg): 34.50 34.50 34.50
Positions (direct):
1 Y 0.142 0.142 0.142
2 Y 0.858 0.858 0.858
3 Ho 0.000 0.000 0.000
4 Fe 0.082 0.581 0.581
5 Fe 0.333 0.333 0.333
6 Fe 0.419 0.419 0.918
7 Fe 0.419 0.918 0.419
8 Fe 0.500 0.500 0.500
9 Fe 0.581 0.082 0.581
10 Fe 0.581 0.581 0.082
11 Fe 0.667 0.667 0.667
12 Fe 0.918 0.419 0.419

Entry 10:
This entry pairs a crystal structure of HoZn11Fe with its calculated powder XRD pattern. Radiation: copper Kα. Structure: a DFT-relaxed cell (GGA-PBE, Alexandria).
Peak positions follow from Bragg's law for the DFT cell and can differ from measured ones.

Top 12 peaks for 15° ≤ 2θ ≤ 90°, in order of rising 2θ:
28.45°, rel. 28; 32.09°, rel. 17; 34.69°, rel. 27; 35.12°, rel. 71; 40.44°, rel. 100; 40.75°, rel. 69; 40.90°, rel. 75; 40.95°, rel. 80; 45.54°, rel. 42; 45.93°, rel. 20; 66.29°, rel. 23; 74.32°, rel. 31

Structural model:
a b c (Å): 6.762 6.762 6.729
angles (deg): 98.39 98.39 135.03
Positions (direct):
1 Ho 0.000 0.000 0.000
2 Zn 0.000 0.500 0.000
3 Zn 0.012 0.668 0.644
4 Zn 0.277 0.493 0.781
5 Zn 0.332 0.988 0.356
6 Zn 0.493 0.277 0.781
7 Zn 0.500 0.000 0.000
8 Zn 0.500 0.500 0.500
9 Zn 0.507 0.723 0.219
10 Zn 0.668 0.012 0.644
11 Zn 0.723 0.507 0.219
12 Zn 0.988 0.332 0.356
13 Fe 0.000 0.000 0.500

Entry 11:
This entry pairs a crystal structure of HoZn2Fe9 with its calculated powder XRD pattern. Radiation: copper Kα. Structure: a DFT-relaxed cell (GGA-PBE, Alexandria).
Peak positions follow from Bragg's law for the DFT cell and can differ from measured ones.

Top 12 peaks for 15° ≤ 2θ ≤ 90°, in order of rising 2θ:
28.61°, rel. 17; 34.68°, rel. 25; 36.21°, rel. 32; 37.29°, rel. 16; 39.53°, rel. 100; 43.57°, rel. 38; 44.11°, rel. 31; 45.02°, rel. 57; 45.73°, rel. 36; 49.85°, rel. 18; 68.74°, rel. 17; 70.50°, rel. 18

Structural model:
a b c (Å): 8.181 8.181 4.823
angles (deg): 90.00 90.00 90.00
Positions (direct):
1 Ho 0.000 0.000 0.000
2 Ho 0.500 0.500 0.000
3 Zn 0.119 0.381 0.000
4 Zn 0.381 0.881 0.000
5 Zn 0.619 0.119 0.000
6 Zn 0.881 0.619 0.000
7 Fe 0.000 0.500 0.500
8 Fe 0.066 0.212 0.500
9 Fe 0.178 0.678 0.243
10 Fe 0.178 0.678 0.757
11 Fe 0.212 0.934 0.500
12 Fe 0.288 0.434 0.500
13 Fe 0.322 0.178 0.243
14 Fe 0.322 0.178 0.757
15 Fe 0.434 0.712 0.500
16 Fe 0.500 0.000 0.500
17 Fe 0.566 0.288 0.500
18 Fe 0.678 0.822 0.243
19 Fe 0.678 0.822 0.757
20 Fe 0.712 0.566 0.500
21 Fe 0.788 0.066 0.500
22 Fe 0.822 0.322 0.243
23 Fe 0.822 0.322 0.757
24 Fe 0.934 0.788 0.500

Entry 12:
This entry pairs a crystal structure of HoZn8Fe4 with its calculated powder XRD pattern. Radiation: copper Kα. Structure: a DFT-relaxed cell (GGA-PBE, Alexandria).
Peak positions follow from Bragg's law for the DFT cell and can differ from measured ones.

Top 12 peaks for 15° ≤ 2θ ≤ 90°, in order of rising 2θ:
29.04°, rel. 15; 32.48°, rel. 11; 35.73°, rel. 32; 35.90°, rel. 14; 41.46°, rel. 100; 41.63°, rel. 36; 46.61°, rel. 10; 46.77°, rel. 24; 68.04°, rel. 8; 68.33°, rel. 13; 75.60°, rel. 17; 75.70°, rel. 13

Structural model:
a b c (Å): 6.653 6.653 6.653
angles (deg): 98.13 98.13 135.83
Positions (direct):
1 Ho 0.000 0.000 0.000
2 Zn 0.000 0.338 0.338
3 Zn 0.000 0.662 0.662
4 Zn 0.275 0.500 0.775
5 Zn 0.338 0.000 0.338
6 Zn 0.500 0.275 0.775
7 Zn 0.500 0.725 0.225
8 Zn 0.662 0.000 0.662
9 Zn 0.725 0.500 0.225
10 Fe 0.000 0.000 0.500
11 Fe 0.000 0.500 0.000
12 Fe 0.500 0.000 0.000
13 Fe 0.500 0.500 0.500

Entry 13:
This entry pairs a crystal structure of FeI2 with its calculated powder XRD pattern. Radiation: copper Kα. Structure: a DFT-relaxed cell (GGA-PBE, Alexandria).
Peak positions follow from Bragg's law for the DFT cell and can differ from measured ones.

Top 12 peaks for 15° ≤ 2θ ≤ 90°, in order of rising 2θ:
24.18°, rel. 100; 26.47°, rel. 10; 27.42°, rel. 10; 29.96°, rel. 9; 38.48°, rel. 21; 40.40°, rel. 18; 41.06°, rel. 18; 45.37°, rel. 15; 46.55°, rel. 15; 49.52°, rel. 7; 49.83°, rel. 14; 65.15°, rel. 6

Structural model:
a b c (Å): 7.910 7.910 7.910
angles (deg): 129.62 69.31 135.70
Positions (direct):
1 Fe 0.250 0.250 0.000
2 Fe 0.750 0.750 0.000
3 I 0.117 0.225 0.342
4 I 0.383 0.725 0.108
5 I 0.617 0.275 0.892
6 I 0.883 0.775 0.658